Pm2Tm5Th5: calculated powder diffraction line list (Cu Kα), based on a DFT-relaxed cell (GGA-PBE, Alexandria).

Top 10 peaks for 10 to 90 degrees two-theta, most intense first:
d [Å]	I (rel.)
2.903	1000
2.518	340
1.777	304
2.507	168
1.518	146
1.514	145
1.153	91
1.520	73
1.512	72
1.453	63

Structure:
a = 7.9653 Å, b = 7.9653 Å, c = 11.2690 Å
α = 115.30°, β = 115.30°, γ = 36.68°
Sites, in units of the cell vectors:
Pm1 0.0830 0.0830 0.2493
Pm2 0.9170 0.9170 0.7507
Tm1 0.3324 0.3324 0.4962
Tm2 0.4149 0.4149 0.2519
Tm3 0.5000 0.5000 0.0000
Tm4 0.5851 0.5851 0.7481
Tm5 0.6676 0.6676 0.5038
Th1 0.0000 0.0000 0.5000
Th2 0.1696 0.1696 0.0007
Th3 0.2484 0.2484 0.7515
Th4 0.7516 0.7516 0.2485
Th5 0.8304 0.8304 0.9993


Tl2SbPdSe4: calculated powder diffraction line list (Cu Kα), based on a DFT-relaxed cell (GGA-PBE, Alexandria).

Top 10 peaks for 10 to 90 degrees two-theta, most intense first:
d [Å]	I (rel.)
3.198	1000
2.757	682
3.835	614
3.235	563
2.669	537
3.186	417
2.768	417
2.085	385
5.535	356
2.516	307

Structure:
a = 6.6585 Å, b = 6.6753 Å, c = 6.8061 Å
α = 110.79°, β = 110.38°, γ = 106.37°
Sites, in units of the cell vectors:
Tl1 0.0000 0.0000 0.0000
Tl2 0.1474 0.6441 0.5035
Sb1 0.6421 0.1425 0.5003
Pd1 0.3839 0.3847 0.0003
Se1 0.0489 0.4972 0.9036
Se2 0.2858 0.1876 0.5660
Se3 0.5971 0.1503 0.0992
Se4 0.6257 0.7227 0.4338


NaSr2Cd7: calculated powder diffraction line list (Cu Kα), based on a DFT-relaxed cell (GGA-PBE, Alexandria).

Top 10 peaks for 10 to 90 degrees two-theta, most intense first:
d [Å]	I (rel.)
2.309	1000
2.934	942
1.633	468
2.332	443
3.201	404
4.366	258
1.428	197
1.874	170
1.232	150
1.155	148

Structure:
a = 4.6222 Å, b = 4.6222 Å, c = 13.3088 Å
α = 90.00°, β = 90.00°, γ = 90.00°
Sites, in units of the cell vectors:
Na1 0.0000 0.0000 0.0000
Sr1 0.0000 0.5000 0.7352
Sr2 0.5000 0.0000 0.2648
Cd1 0.0000 0.0000 0.5000
Cd2 0.0000 0.5000 0.1485
Cd3 0.0000 0.5000 0.3623
Cd4 0.5000 0.0000 0.6377
Cd5 0.5000 0.0000 0.8515
Cd6 0.5000 0.5000 0.0000
Cd7 0.5000 0.5000 0.5000


Cu2Au3Cl6: calculated powder diffraction line list (Cu Kα), based on a DFT-relaxed cell (GGA-PBE, Alexandria).

Top 10 peaks for 10 to 90 degrees two-theta, most intense first:
d [Å]	I (rel.)
3.255	1000
7.303	867
3.197	809
3.652	496
3.072	354
2.887	322
5.394	293
1.924	289
2.146	263
2.236	244

Structure:
a = 6.6320 Å, b = 6.6320 Å, c = 15.3153 Å
α = 105.36°, β = 105.36°, γ = 56.57°
Sites, in units of the cell vectors:
Cu1 0.1569 0.6613 0.9950
Cu2 0.3387 0.8431 0.5050
Cu3 0.6613 0.1569 0.4950
Cu4 0.8431 0.3387 0.0050
Au1 0.0070 0.9930 0.2500
Au2 0.2426 0.4238 0.2536
Au3 0.4238 0.2426 0.7536
Au4 0.5762 0.7574 0.2464
Au5 0.7574 0.5762 0.7464
Au6 0.9930 0.0070 0.7500
Cl1 0.0089 0.0965 0.4071
Cl2 0.0965 0.0089 0.9071
Cl3 0.1895 0.3511 0.0954
Cl4 0.3342 0.4674 0.4122
Cl5 0.3511 0.1895 0.5954
Cl6 0.4674 0.3342 0.9122
Cl7 0.5326 0.6658 0.0878
Cl8 0.6489 0.8105 0.4046
Cl9 0.6658 0.5326 0.5878
Cl10 0.8105 0.6489 0.9046
Cl11 0.9035 0.9911 0.0929
Cl12 0.9911 0.9035 0.5929